Record 1
For Li2MnSi3O8, a GGA+U-relaxed structure gives the theoretical powder diffractogram in this record (Cu Kα).
Intensities are scaled so that the largest is 100.

Principal peaks in the range 10 to 80 degrees two-theta, sorted by position:
| 2θ/deg | Rel. int. |
| --- | --- |
| 14.89 | 55 |
| 18.84 | 84 |
| 19.15 | 60 |
| 21.45 | 48 |
| 22.51 | 100 |
| 26.42 | 39 |
| 30.05 | 23 |
| 30.54 | 34 |
| 31.22 | 29 |
| 31.63 | 34 |
| 35.94 | 21 |
| 41.69 | 23 |

Atomic structure:
a = 5.0569 Å, b = 6.3022 Å, c = 6.4072 Å
α = 76.89°, β = 73.96°, γ = 72.94°
Element x y z (fractional)
Li 0.0000 0.0000 0.0000
Li 0.4981 0.6552 0.7471
Mn 0.3391 0.6270 0.2425
Si 0.0148 0.4656 0.0320
Si 0.0607 0.1172 0.4504
Si 0.4482 0.2426 0.6623
O 0.0367 0.3718 0.2978
O 0.0806 0.9386 0.3027
O 0.1394 0.6865 0.9671
O 0.2341 0.2460 0.9099
O 0.3428 0.0715 0.5559
O 0.4270 0.4964 0.5419
O 0.6993 0.5084 0.9981
O 0.7860 0.1202 0.6703

Record 2
For Li2Mn5Si5O16, a GGA+U-relaxed structure gives the theoretical powder diffractogram in this record (Cu Kα).
Intensities are scaled so that the largest is 100.

Principal peaks in the range 10 to 80 degrees two-theta, sorted by position:
| 2θ/deg | Rel. int. |
| --- | --- |
| 20.99 | 100 |
| 21.20 | 71 |
| 21.36 | 52 |
| 22.67 | 31 |
| 24.07 | 26 |
| 24.34 | 24 |
| 24.93 | 28 |
| 30.64 | 44 |
| 34.37 | 77 |
| 34.62 | 72 |
| 35.42 | 24 |
| 51.15 | 27 |

Atomic structure:
a = 5.2189 Å, b = 7.1449 Å, c = 10.3669 Å
α = 90.98°, β = 90.61°, γ = 90.64°
Element x y z (fractional)
Li 0.0000 0.0000 0.0000
Li 0.4457 0.5469 0.7896
Mn 0.1191 0.4936 0.4960
Mn 0.1374 0.9886 0.4642
Mn 0.6172 0.5219 0.2877
Mn 0.6208 0.0198 0.2714
Mn 0.9816 0.5030 0.9697
Si 0.0600 0.2254 0.7270
Si 0.1181 0.2626 0.2217
Si 0.4779 0.7432 0.0264
Si 0.5527 0.9902 0.7993
Si 0.6384 0.7692 0.5449
O 0.0132 0.0634 0.2836
O 0.0352 0.2593 0.0704
O 0.0856 0.2277 0.5711
O 0.1101 0.4343 0.7826
O 0.1709 0.7588 0.0042
O 0.2633 0.0736 0.7904
O 0.4315 0.2696 0.2491
O 0.5077 0.5732 0.4906
O 0.5317 0.9467 0.4637
O 0.5623 0.8012 0.7023
O 0.5693 0.7633 0.1785
O 0.5938 0.5568 0.9582
O 0.6154 0.9288 0.9486
O 0.7704 0.1455 0.7643
O 0.9496 0.7534 0.5314
O 0.9987 0.4436 0.3030

Record 3
For Li7Mn3Si2O12, a GGA+U-relaxed structure gives the theoretical powder diffractogram in this record (Cu Kα).
Intensities are scaled so that the largest is 100.

Principal peaks in the range 10 to 80 degrees two-theta, sorted by position:
| 2θ/deg | Rel. int. |
| --- | --- |
| 18.25 | 100 |
| 35.56 | 14 |
| 37.14 | 17 |
| 37.87 | 6 |
| 42.25 | 35 |
| 44.92 | 59 |
| 47.65 | 7 |
| 58.77 | 10 |
| 62.55 | 17 |
| 64.18 | 16 |
| 64.53 | 8 |
| 66.30 | 11 |

Atomic structure:
a = 4.9361 Å, b = 4.9361 Å, c = 9.7942 Å
α = 93.51°, β = 93.51°, γ = 118.00°
Element x y z (fractional)
Li 0.0000 0.0000 0.0000
Li 0.0826 0.4079 0.2454
Li 0.2510 0.2510 0.7607
Li 0.4079 0.0826 0.2454
Li 0.5921 0.9174 0.7546
Li 0.7490 0.7490 0.2393
Li 0.9174 0.5921 0.7546
Mn 0.1667 0.8333 0.5000
Mn 0.5000 0.5000 0.5000
Mn 0.8333 0.1667 0.5000
Si 0.3319 0.6681 0.0000
Si 0.6681 0.3319 0.0000
O 0.0248 0.6524 0.1018
O 0.0989 0.0989 0.3772
O 0.2325 0.5662 0.6203
O 0.3476 0.9752 0.8982
O 0.4057 0.4057 0.1039
O 0.4338 0.7675 0.3797
O 0.5662 0.2325 0.6203
O 0.5943 0.5943 0.8961
O 0.6524 0.0248 0.1018
O 0.7675 0.4338 0.3797
O 0.9011 0.9011 0.6228
O 0.9752 0.3476 0.8982

Record 4
For Li2MnSi4O11, a GGA+U-relaxed structure gives the theoretical powder diffractogram in this record (Cu Kα).
Intensities are scaled so that the largest is 100.

Principal peaks in the range 10 to 80 degrees two-theta, sorted by position:
| 2θ/deg | Rel. int. |
| --- | --- |
| 16.92 | 87 |
| 22.10 | 27 |
| 22.68 | 100 |
| 24.02 | 23 |
| 26.91 | 82 |
| 27.96 | 26 |
| 28.44 | 16 |
| 35.47 | 34 |
| 36.37 | 36 |
| 39.48 | 16 |
| 49.19 | 14 |
| 72.84 | 14 |

Atomic structure:
a = 8.3826 Å, b = 8.3826 Å, c = 8.3826 Å
α = 102.63°, β = 102.63°, γ = 124.24°
Element x y z (fractional)
Li 0.1172 0.8418 0.9590
Li 0.1582 0.1172 0.2755
Li 0.8418 0.8828 0.7245
Li 0.8828 0.1582 0.0410
Mn 0.2554 0.2554 0.0000
Mn 0.7446 0.7446 0.0000
Si 0.0039 0.3292 0.7198
Si 0.2841 0.0039 0.6747
Si 0.3292 0.6094 0.3253
Si 0.3906 0.7159 0.7198
Si 0.6094 0.2841 0.2802
Si 0.6708 0.3906 0.6747
Si 0.7159 0.9961 0.3253
Si 0.9961 0.6708 0.2802
O 0.0000 0.0000 0.0000
O 0.0551 0.2985 0.9030
O 0.0937 0.5465 0.2645
O 0.1521 0.0551 0.7566
O 0.1708 0.9063 0.4528
O 0.2095 0.4673 0.6767
O 0.2820 0.8292 0.7355
O 0.2985 0.3955 0.2434
O 0.3955 0.1521 0.0970
O 0.4535 0.7180 0.5472
O 0.4673 0.7905 0.2578
O 0.5000 0.5000 0.0000
O 0.5327 0.2095 0.7422
O 0.5465 0.2820 0.4528
O 0.6045 0.8479 0.9030
O 0.7015 0.6045 0.7566
O 0.7180 0.1708 0.2645
O 0.7905 0.5327 0.3233
O 0.8292 0.0937 0.5472
O 0.8479 0.9449 0.2434
O 0.9063 0.4535 0.7355
O 0.9449 0.7015 0.0970

Record 5
For Li5MnSi2O8, a GGA+U-relaxed structure gives the theoretical powder diffractogram in this record (Cu Kα).
Intensities are scaled so that the largest is 100.

Principal peaks in the range 10 to 80 degrees two-theta, sorted by position:
| 2θ/deg | Rel. int. |
| --- | --- |
| 13.98 | 31 |
| 16.86 | 39 |
| 21.71 | 40 |
| 22.23 | 100 |
| 23.41 | 22 |
| 27.87 | 36 |
| 32.67 | 49 |
| 33.37 | 50 |
| 34.11 | 96 |
| 58.27 | 19 |
| 59.70 | 27 |
| 61.03 | 26 |

Atomic structure:
a = 5.2635 Å, b = 5.2635 Å, c = 6.3366 Å
α = 91.29°, β = 91.29°, γ = 92.45°
Element x y z (fractional)
Li 0.0000 0.0000 0.0000
Li 0.3545 0.6455 0.0000
Li 0.5082 0.1232 0.7558
Li 0.8768 0.4918 0.2442
Li 0.9901 0.0099 0.5000
Mn 0.3641 0.6359 0.5000
Si 0.5174 0.1350 0.2388
Si 0.8650 0.4826 0.7612
O 0.3766 0.0028 0.4481
O 0.3802 0.0215 0.0242
O 0.4777 0.4558 0.2586
O 0.5442 0.5223 0.7415
O 0.8232 0.1143 0.2516
O 0.8857 0.1768 0.7484
O 0.9785 0.6198 0.9758
O 0.9972 0.6234 0.5519

Record 6
For Li3MnSiO5, a GGA+U-relaxed structure gives the theoretical powder diffractogram in this record (Cu Kα).
Intensities are scaled so that the largest is 100.

Principal peaks in the range 10 to 80 degrees two-theta, sorted by position:
| 2θ/deg | Rel. int. |
| --- | --- |
| 11.20 | 44 |
| 18.59 | 32 |
| 19.69 | 100 |
| 24.53 | 70 |
| 26.61 | 33 |
| 32.67 | 99 |
| 33.14 | 21 |
| 35.87 | 62 |
| 37.40 | 50 |
| 49.30 | 31 |
| 58.26 | 33 |
| 65.48 | 39 |

Atomic structure:
a = 5.4900 Å, b = 15.8029 Å, c = 5.0067 Å
α = 90.00°, β = 90.00°, γ = 90.00°
Element x y z (fractional)
Li 0.1494 0.0910 0.0000
Li 0.1675 0.5083 0.0055
Li 0.1923 0.6991 0.0145
Li 0.3077 0.1991 0.5145
Li 0.3325 0.0083 0.5055
Li 0.3506 0.5910 0.5000
Li 0.6494 0.4090 0.0000
Li 0.6675 0.9917 0.0055
Li 0.6923 0.8009 0.0145
Li 0.8077 0.3009 0.5145
Li 0.8325 0.4917 0.5055
Li 0.8506 0.9090 0.5000
Mn 0.1488 0.3054 0.0147
Mn 0.3512 0.8054 0.5147
Mn 0.6488 0.1946 0.0147
Mn 0.8512 0.6946 0.5147
Si 0.1744 0.9031 0.0108
Si 0.3256 0.4031 0.5108
Si 0.6744 0.5969 0.0108
Si 0.8256 0.0969 0.5108
O 0.1078 0.1031 0.6103
O 0.1694 0.3169 0.6108
O 0.1804 0.8996 0.6729
O 0.1818 0.7075 0.6075
O 0.1832 0.4880 0.6084
O 0.3168 0.9880 0.1084
O 0.3182 0.2075 0.1075
O 0.3196 0.3996 0.1729
O 0.3306 0.8169 0.1108
O 0.3922 0.6031 0.1103
O 0.6078 0.3969 0.6103
O 0.6694 0.1831 0.6108
O 0.6804 0.6004 0.6729
O 0.6818 0.7925 0.6075
O 0.6832 0.0120 0.6084
O 0.8168 0.5120 0.1084
O 0.8182 0.2925 0.1075
O 0.8196 0.1004 0.1729
O 0.8306 0.6831 0.1108
O 0.8922 0.8969 0.1103

Record 7
For Li2Mn2Si2O7, a GGA+U-relaxed structure gives the theoretical powder diffractogram in this record (Cu Kα).
Intensities are scaled so that the largest is 100.

Principal peaks in the range 10 to 80 degrees two-theta, sorted by position:
| 2θ/deg | Rel. int. |
| --- | --- |
| 13.11 | 50 |
| 17.46 | 53 |
| 18.67 | 64 |
| 19.87 | 100 |
| 21.90 | 50 |
| 26.39 | 100 |
| 28.13 | 99 |
| 31.97 | 42 |
| 32.67 | 42 |
| 33.25 | 32 |
| 36.10 | 60 |
| 37.85 | 64 |

Atomic structure:
a = 13.5074 Å, b = 5.6552 Å, c = 5.6552 Å
α = 127.79°, β = 90.00°, γ = 90.00°
Element x y z (fractional)
Li 0.0000 0.0000 0.0000
Li 0.2500 0.0641 0.0047
Li 0.5000 0.0000 0.0000
Li 0.7500 0.0047 0.0641
Mn 0.0872 0.3791 0.8186
Mn 0.4128 0.3791 0.8186
Mn 0.5872 0.8186 0.3791
Mn 0.9128 0.8186 0.3791
Si 0.1372 0.6849 0.4789
Si 0.3628 0.6849 0.4789
Si 0.6372 0.4789 0.6849
Si 0.8628 0.4789 0.6849
O 0.0645 0.9214 0.4835
O 0.1180 0.6970 0.7711
O 0.1295 0.3506 0.1576
O 0.2500 0.8331 0.5308
O 0.3705 0.3506 0.1576
O 0.3820 0.6970 0.7711
O 0.4355 0.9214 0.4835
O 0.5645 0.4835 0.9214
O 0.6180 0.7711 0.6970
O 0.6295 0.1576 0.3506
O 0.7500 0.5308 0.8331
O 0.8705 0.1576 0.3506
O 0.8820 0.7711 0.6970
O 0.9355 0.4835 0.9214

Record 8
For LiMn2Si2O7, a GGA+U-relaxed structure gives the theoretical powder diffractogram in this record (Cu Kα).
Intensities are scaled so that the largest is 100.

Principal peaks in the range 10 to 80 degrees two-theta, sorted by position:
| 2θ/deg | Rel. int. |
| --- | --- |
| 20.14 | 100 |
| 21.00 | 34 |
| 21.19 | 30 |
| 21.36 | 29 |
| 22.19 | 72 |
| 32.74 | 77 |
| 33.69 | 59 |
| 34.61 | 41 |
| 36.53 | 56 |
| 43.14 | 21 |
| 48.53 | 20 |
| 49.90 | 27 |

Atomic structure:
a = 4.9294 Å, b = 4.9294 Å, c = 13.6430 Å
α = 91.01°, β = 91.01°, γ = 116.51°
Element x y z (fractional)
Li 0.1808 0.8192 0.5000
Li 0.8192 0.1808 0.0000
Mn 0.4551 0.5183 0.6588
Mn 0.5117 0.5134 0.8953
Mn 0.5134 0.5117 0.3953
Mn 0.5183 0.4551 0.1588
Si 0.1790 0.8658 0.2728
Si 0.1852 0.8279 0.0600
Si 0.8279 0.1852 0.5601
Si 0.8658 0.1790 0.7728
O 0.1742 0.2092 0.5613
O 0.2092 0.1742 0.0613
O 0.2308 0.2689 0.7675
O 0.2689 0.2308 0.2675
O 0.3216 0.8043 0.3709
O 0.3271 0.7916 0.1708
O 0.4097 0.7967 0.9824
O 0.5701 0.8264 0.5563
O 0.6648 0.8090 0.7641
O 0.7916 0.3271 0.6708
O 0.7967 0.4097 0.4824
O 0.8043 0.3216 0.8709
O 0.8090 0.6648 0.2641
O 0.8264 0.5701 0.0563

Repeat the fourth record exactly.
For Li2MnSi4O11, a GGA+U-relaxed structure gives the theoretical powder diffractogram in this record (Cu Kα).
Intensities are scaled so that the largest is 100.

Principal peaks in the range 10 to 80 degrees two-theta, sorted by position:
| 2θ/deg | Rel. int. |
| --- | --- |
| 16.92 | 87 |
| 22.10 | 27 |
| 22.68 | 100 |
| 24.02 | 23 |
| 26.91 | 82 |
| 27.96 | 26 |
| 28.44 | 16 |
| 35.47 | 34 |
| 36.37 | 36 |
| 39.48 | 16 |
| 49.19 | 14 |
| 72.84 | 14 |

Atomic structure:
a = 8.3826 Å, b = 8.3826 Å, c = 8.3826 Å
α = 102.63°, β = 102.63°, γ = 124.24°
Element x y z (fractional)
Li 0.1172 0.8418 0.9590
Li 0.1582 0.1172 0.2755
Li 0.8418 0.8828 0.7245
Li 0.8828 0.1582 0.0410
Mn 0.2554 0.2554 0.0000
Mn 0.7446 0.7446 0.0000
Si 0.0039 0.3292 0.7198
Si 0.2841 0.0039 0.6747
Si 0.3292 0.6094 0.3253
Si 0.3906 0.7159 0.7198
Si 0.6094 0.2841 0.2802
Si 0.6708 0.3906 0.6747
Si 0.7159 0.9961 0.3253
Si 0.9961 0.6708 0.2802
O 0.0000 0.0000 0.0000
O 0.0551 0.2985 0.9030
O 0.0937 0.5465 0.2645
O 0.1521 0.0551 0.7566
O 0.1708 0.9063 0.4528
O 0.2095 0.4673 0.6767
O 0.2820 0.8292 0.7355
O 0.2985 0.3955 0.2434
O 0.3955 0.1521 0.0970
O 0.4535 0.7180 0.5472
O 0.4673 0.7905 0.2578
O 0.5000 0.5000 0.0000
O 0.5327 0.2095 0.7422
O 0.5465 0.2820 0.4528
O 0.6045 0.8479 0.9030
O 0.7015 0.6045 0.7566
O 0.7180 0.1708 0.2645
O 0.7905 0.5327 0.3233
O 0.8292 0.0937 0.5472
O 0.8479 0.9449 0.2434
O 0.9063 0.4535 0.7355
O 0.9449 0.7015 0.0970